1.
K2PdI2Cl2: theoretical X-ray powder pattern (Cu Kα X-rays), based on a GGA-PBE-relaxed structure.
No peak broadening, texture or thermal motion is included.

Structure:
a b c (Å): 4.4031 7.5963 7.6044
angles (deg): 90.00 90.00 90.00
Positions (direct):
1 K 0.0000 0.0000 0.0000
2 K 0.0000 0.5000 0.3999
3 Pd 0.5000 0.5000 0.9536
4 I 0.5000 0.2599 0.7096
5 I 0.5000 0.7401 0.7096
6 Cl 0.5000 0.2762 0.1753
7 Cl 0.5000 0.7238 0.1753

Main lines, sorted by position (2θ = 10–80°):
2θ (°)  d (Å)  Rel. int.
11.6  7.602  1000
20.2  4.403  618
23.4  3.808  667
26.2  3.403  690
31.1  2.877  542
33.3  2.688  891
39.3  2.294  442
41.0  2.201  228
47.9  1.900  279
53.8  1.703  349

***

2.
LaNdI2NCl: theoretical X-ray powder pattern (Cu Kα X-rays), based on a GGA-PBE-relaxed structure.
No peak broadening, texture or thermal motion is included.

Structure:
a b c (Å): 9.7324 9.7324 12.6335
angles (deg): 123.90 123.90 24.65
Positions (direct):
1 La 0.1341 0.1341 0.2741
2 La 0.8659 0.8659 0.7259
3 Nd 0.4242 0.4242 0.0382
4 Nd 0.5758 0.5758 0.9618
5 I 0.2319 0.2319 0.1269
6 I 0.3460 0.3460 0.5017
7 I 0.6540 0.6540 0.4983
8 I 0.7681 0.7681 0.8731
9 N 0.4258 0.4258 0.8542
10 N 0.5742 0.5742 0.1458
11 Cl 0.0383 0.0383 0.7846
12 Cl 0.9617 0.9617 0.2154

Main lines, sorted by position (2θ = 10–80°):
2θ (°)  d (Å)  Rel. int.
22.6  3.939  369
24.9  3.572  568
26.0  3.428  285
28.4  3.138  619
30.1  2.971  1000
30.3  2.951  804
31.9  2.804  419
33.3  2.688  321
39.8  2.267  280
43.6  2.077  356

***

3.
LaPrINCl2: theoretical X-ray powder pattern (Cu Kα X-rays), based on a GGA-PBE-relaxed structure.
No peak broadening, texture or thermal motion is included.

Structure:
a b c (Å): 8.4663 8.4663 11.3353
angles (deg): 116.54 116.54 28.46
Positions (direct):
1 La 0.1304 0.1304 0.2774
2 La 0.8696 0.8696 0.7226
3 Pr 0.4095 0.4095 0.0462
4 Pr 0.5905 0.5905 0.9538
5 I 0.3551 0.3551 0.4801
6 I 0.6449 0.6449 0.5199
7 N 0.4277 0.4277 0.8505
8 N 0.5723 0.5723 0.1495
9 Cl 0.0584 0.0584 0.7654
10 Cl 0.2205 0.2205 0.1035
11 Cl 0.7795 0.7795 0.8965
12 Cl 0.9416 0.9416 0.2346

Main lines, sorted by position (2θ = 10–80°):
2θ (°)  d (Å)  Rel. int.
11.2  7.868  933
24.4  3.641  738
25.0  3.567  524
26.6  3.345  1000
28.5  3.133  385
30.2  2.955  806
32.6  2.744  714
33.8  2.655  427
35.0  2.564  608
43.5  2.081  387

***

4.
Nd4INCl4: theoretical X-ray powder pattern (Cu Kα X-rays), based on a GGA-PBE-relaxed structure.
No peak broadening, texture or thermal motion is included.

Structure:
a b c (Å): 8.9524 8.9524 8.6893
angles (deg): 105.46 105.46 25.01
Positions (direct):
1 Nd 0.9998 0.9998 0.1934
2 Nd 0.0002 0.0002 0.8066
3 Nd 0.3548 0.3548 0.9185
4 Nd 0.6452 0.6452 0.0815
5 I 0.5000 0.5000 0.5000
6 N 0.5000 0.5000 0.0000
7 Cl 0.1671 0.1671 0.3260
8 Cl 0.1708 0.1708 0.8554
9 Cl 0.8292 0.8292 0.1446
10 Cl 0.8329 0.8329 0.6740

Main lines, sorted by position (2θ = 10–80°):
2θ (°)  d (Å)  Rel. int.
10.5  8.385  1000
20.9  4.250  148
28.4  3.146  209
30.9  2.892  734
31.5  2.836  260
31.9  2.803  319
36.6  2.452  140
44.6  2.030  188
45.4  1.996  200
46.9  1.938  132

***

5.
Pr2Nd2I3NCl2: theoretical X-ray powder pattern (Cu Kα X-rays), based on a GGA-PBE-relaxed structure.
No peak broadening, texture or thermal motion is included.

Structure:
a b c (Å): 9.5744 9.5744 8.7624
angles (deg): 100.85 100.85 23.93
Positions (direct):
1 Pr 0.0013 0.0013 0.3058
2 Pr 0.9987 0.9987 0.6942
3 Nd 0.3670 0.3670 0.4353
4 Nd 0.6330 0.6330 0.5647
5 I 0.1749 0.1749 0.3115
6 I 0.5000 0.5000 0.0000
7 I 0.8251 0.8251 0.6885
8 N 0.5000 0.5000 0.5000
9 Cl 0.1524 0.1524 0.8008
10 Cl 0.8476 0.8476 0.1992

Main lines, sorted by position (2θ = 10–80°):
2θ (°)  d (Å)  Rel. int.
10.3  8.599  704
23.6  3.763  191
29.1  3.064  404
29.8  3.003  159
30.4  2.941  1000
33.2  2.697  194
33.4  2.684  301
42.0  2.152  245
43.2  2.092  219
45.7  1.985  187

***

6.
Sm2INCl2: theoretical X-ray powder pattern (Cu Kα X-rays), based on a GGA-PBE-relaxed structure.
No peak broadening, texture or thermal motion is included.

Structure:
a b c (Å): 8.9390 8.9390 11.0714
angles (deg): 121.15 121.15 25.80
Positions (direct):
1 Sm 0.0820 0.0820 0.4578
2 Sm 0.3638 0.3638 0.2057
3 Sm 0.6362 0.6362 0.7943
4 Sm 0.9180 0.9180 0.5422
5 I 0.4491 0.4491 0.7857
6 I 0.5509 0.5509 0.2143
7 N 0.0729 0.0729 0.6585
8 N 0.9271 0.9271 0.3415
9 Cl 0.1740 0.1740 0.0163
10 Cl 0.2903 0.2903 0.3863
11 Cl 0.7097 0.7097 0.6137
12 Cl 0.8260 0.8260 0.9837

Main lines, sorted by position (2θ = 10–80°):
2θ (°)  d (Å)  Rel. int.
10.6  8.340  689
12.0  7.385  490
20.7  4.301  516
26.2  3.403  999
27.9  3.203  1000
32.0  2.794  867
32.3  2.769  671
32.6  2.747  551
34.3  2.615  764
43.1  2.099  641

***

7.
Sm2I2NCl: theoretical X-ray powder pattern (Cu Kα X-rays), based on a GGA-PBE-relaxed structure.
No peak broadening, texture or thermal motion is included.

Structure:
a b c (Å): 9.4496 9.4496 12.5716
angles (deg): 124.74 124.74 24.75
Positions (direct):
1 Sm 0.0780 0.0780 0.4661
2 Sm 0.3654 0.3654 0.2270
3 Sm 0.6346 0.6346 0.7730
4 Sm 0.9220 0.9220 0.5339
5 I 0.1525 0.1525 0.9940
6 I 0.2609 0.2609 0.3639
7 I 0.7391 0.7391 0.6361
8 I 0.8475 0.8475 0.0060
9 N 0.0758 0.0758 0.6471
10 N 0.9242 0.9242 0.3529
11 Cl 0.4602 0.4602 0.7131
12 Cl 0.5398 0.5398 0.2869

Main lines, sorted by position (2θ = 10–80°):
2θ (°)  d (Å)  Rel. int.
25.6  3.479  479
26.5  3.361  244
28.6  3.120  491
30.8  2.899  1000
31.5  2.840  462
32.8  2.728  326
34.0  2.634  328
38.7  2.324  217
44.8  2.025  265
54.0  1.699  199

***

8.
Sm2INCl2: theoretical X-ray powder pattern (Cu Kα X-rays), based on a GGA-PBE-relaxed structure.
No peak broadening, texture or thermal motion is included.

Structure:
a b c (Å): 8.4303 8.4303 11.1766
angles (deg): 117.74 117.74 27.71
Positions (direct):
1 Sm 0.0868 0.0868 0.4542
2 Sm 0.3686 0.3686 0.2229
3 Sm 0.6314 0.6314 0.7771
4 Sm 0.9132 0.9132 0.5458
5 I 0.1478 0.1478 0.0209
6 I 0.8522 0.8522 0.9791
7 N 0.0733 0.0733 0.6499
8 N 0.9267 0.9267 0.3501
9 Cl 0.2824 0.2824 0.3960
10 Cl 0.4469 0.4469 0.7376
11 Cl 0.5531 0.5531 0.2624
12 Cl 0.7176 0.7176 0.6040

Main lines, sorted by position (2θ = 10–80°):
2θ (°)  d (Å)  Rel. int.
11.3  7.865  1000
24.8  3.591  535
25.7  3.463  462
27.4  3.259  779
29.0  3.076  303
31.2  2.870  601
32.9  2.722  486
34.0  2.635  388
35.5  2.532  452
44.9  2.019  360

***

9.
Zn2IN4Cl: theoretical X-ray powder pattern (Cu Kα X-rays), based on a GGA-PBE-relaxed structure.
No peak broadening, texture or thermal motion is included.

Structure:
a b c (Å): 6.4456 6.4456 6.4456
angles (deg): 134.63 134.63 66.11
Positions (direct):
1 Zn 0.0000 0.0000 0.0000
2 Zn 0.7500 0.2500 0.5000
3 I 0.2500 0.7500 0.5000
4 N 0.0633 0.0973 0.8128
5 N 0.2846 0.2506 0.1872
6 N 0.7494 0.9367 0.0340
7 N 0.9027 0.7154 0.9660
8 Cl 0.5000 0.5000 0.0000

Main lines, sorted by position (2θ = 10–80°):
2θ (°)  d (Å)  Rel. int.
16.4  5.402  212
19.7  4.517  213
30.3  2.947  1000
33.2  2.701  201
36.1  2.486  409
49.9  1.829  266
52.0  1.758  125
57.5  1.603  211
61.4  1.510  296
63.1  1.473  140

***

10.
NbI3Cl2: theoretical X-ray powder pattern (Cu Kα X-rays), based on a GGA-PBE-relaxed structure.
No peak broadening, texture or thermal motion is included.

Structure:
a b c (Å): 7.1463 7.6569 10.2497
angles (deg): 108.87 90.75 114.93
Positions (direct):
1 Nb 0.1043 0.2221 0.2284
2 Nb 0.8957 0.7779 0.7716
3 I 0.1307 0.6122 0.8439
4 I 0.2400 0.1811 0.9527
5 I 0.4472 0.5805 0.3360
6 I 0.5528 0.4195 0.6640
7 I 0.7600 0.8189 0.0473
8 I 0.8693 0.3878 0.1561
9 Cl 0.0556 0.8223 0.5828
10 Cl 0.2765 0.0253 0.2459
11 Cl 0.7235 0.9747 0.7541
12 Cl 0.9444 0.1777 0.4172

Main lines, sorted by position (2θ = 10–80°):
2θ (°)  d (Å)  Rel. int.
13.5  6.578  421
14.5  6.126  408
27.1  3.289  468
27.9  3.198  340
28.0  3.184  707
29.0  3.080  1000
29.1  3.070  711
29.2  3.054  297
36.3  2.472  280
38.0  2.367  308

***

11.
NbI4Cl: theoretical X-ray powder pattern (Cu Kα X-rays), based on a GGA-PBE-relaxed structure.
No peak broadening, texture or thermal motion is included.

Structure:
a b c (Å): 7.3438 7.9051 10.3153
angles (deg): 110.92 90.64 116.50
Positions (direct):
1 Nb 0.0995 0.2068 0.2076
2 Nb 0.9005 0.7932 0.7924
3 I 0.0743 0.8208 0.5692
4 I 0.1254 0.6281 0.8555
5 I 0.3053 0.0059 0.2433
6 I 0.4444 0.5728 0.3219
7 I 0.5556 0.4272 0.6781
8 I 0.6947 0.9941 0.7567
9 I 0.8746 0.3719 0.1445
10 I 0.9257 0.1792 0.4308
11 Cl 0.1965 0.1519 0.9610
12 Cl 0.8035 0.8481 0.0390

Main lines, sorted by position (2θ = 10–80°):
2θ (°)  d (Å)  Rel. int.
13.1  6.762  275
18.8  4.716  261
26.4  3.381  514
27.4  3.254  306
27.9  3.199  612
28.6  3.125  606
28.9  3.087  1000
29.1  3.065  288
36.5  2.462  256
43.6  2.078  261

***

12.
NbI2ClO: theoretical X-ray powder pattern (Cu Kα X-rays), based on a GGA-PBE-relaxed structure.
No peak broadening, texture or thermal motion is included.

Structure:
a b c (Å): 7.4308 7.4308 12.6037
angles (deg): 119.26 119.26 31.14
Positions (direct):
1 Nb 0.1314 0.1314 0.2001
2 Nb 0.8686 0.8686 0.7999
3 I 0.0438 0.1662 0.9556
4 I 0.0500 0.1583 0.3936
5 I 0.8338 0.9562 0.0444
6 I 0.8417 0.9500 0.6064
7 Cl 0.2633 0.3701 0.2826
8 Cl 0.6299 0.7367 0.7174
9 O 0.3307 0.4202 0.8090
10 O 0.5798 0.6693 0.1910

Main lines, sorted by position (2θ = 10–80°):
2θ (°)  d (Å)  Rel. int.
12.4  7.140  677
23.4  3.796  1000
23.6  3.771  402
28.4  3.141  606
28.9  3.084  605
29.7  3.009  345
30.8  2.906  301
36.6  2.457  236
42.4  2.131  302
43.1  2.098  360